Theoretical PXRD pattern
Compound: Lu2Sn2O7
Radiation: a wavelength of 1.5418 Å
Structure: a structure optimized by DFT (GGA-PBE)

Peak list (12 most intense, 10 to 80 degrees two-theta, in order of falling intensity)
| index | d [Å] | I_rel |
| --- | --- | --- |
| 2 2 2 | 2.994 | 100.0 |
| 4 4 0 | 1.833 | 48.4 |
| 6 2 2 | 1.564 | 44.8 |
| 4 0 0 | 2.593 | 34.2 |
| 4 4 4 | 1.497 | 10.2 |
| 8 0 0 | 1.296 | 7.3 |
| 1 1 1 | 5.988 | 3.6 |
| 3 3 1 | 2.379 | 3.3 |
| 5 1 1 | 1.996 | 1.2 |
| 3 1 1 | 3.127 | 1.2 |
| 5 3 1 | 1.753 | 1.0 |
| 7 1 1 | 1.452 | 0.5 |

Crystal structure
abc: 10.371 10.371 10.371
angles: 90.00 90.00 90.00
Space group Fd-3m (No. 227, origin choice 2)
Symmetry-distinct sites (fractional):
Lu: 0.000 0.000 0.000 (multiplicity 16)
Sn: 0.000 0.000 0.500 (multiplicity 16)
O: 0.093 0.375 0.875 (multiplicity 48)
O: 0.125 0.125 0.125 (multiplicity 8)